(1)
For NpMnCo2O8, a DFT-relaxed cell (PBE+U, Alexandria) gives the computed powder diffractogram in this record (Cu Kα, 1.54184 Å).

Structure:
```
12
Lattice="-3.317 3.317 3.352 3.317 -3.317 3.352 3.317 3.317 -3.352" Properties=species:S:1:pos:R:3 pbc="T T T"
Np 0.000 0.000 0.000
Mn 0.000 3.317 1.676
Co 3.317 0.000 1.676
Co 0.000 0.000 3.352
O 1.954 0.000 0.331
O 4.679 0.000 0.331
O 3.317 2.083 -1.238
O 3.317 -1.363 3.021
O 0.000 1.233 2.115
O 3.317 1.363 3.021
O 2.083 3.317 1.238
O 1.233 0.000 4.590
```

The 6 most intense peaks (2θ = 10–90°), in order of rising 2θ:
18.82°, 4.715 Å, intensity 73; 18.92°, 4.690 Å, intensity 40; 26.88°, 3.317 Å, intensity 100; 32.84°, 2.727 Å, intensity 93; 43.10°, 2.099 Å, intensity 25; 51.39°, 1.778 Å, intensity 68



(2)
For Na2Ni3P2H2O10, a DFT-relaxed cell (PBE+U, Alexandria) gives the computed powder diffractogram in this record (Cu Kα, 1.54184 Å).

Structure:
```
19
Lattice="7.157 -2.876 0.000 7.157 2.876 0.000 -1.235 0.000 4.835" Properties=species:S:1:pos:R:3 pbc="T T T"
Na 2.983 0.000 1.396
Na 10.095 0.000 3.439
Ni 0.000 0.000 0.000
Ni 6.539 1.342 2.417
Ni 6.539 -1.342 2.417
P 4.240 0.000 4.366
P 8.838 0.000 0.469
H 1.119 0.000 3.655
H 11.959 0.000 1.180
O 0.154 0.000 3.444
O 4.921 1.291 3.780
O 2.772 0.000 3.901
O 8.157 1.291 1.055
O 5.520 0.000 1.102
O 7.558 0.000 3.733
O 4.921 -1.291 3.780
O 10.305 0.000 0.934
O 8.157 -1.291 1.055
O 12.924 0.000 1.390
```

The 6 most intense peaks (2θ = 10–90°), in order of rising 2θ:
12.77°, 6.934 Å, intensity 100; 33.76°, 2.655 Å, intensity 29; 36.20°, 2.482 Å, intensity 20; 36.35°, 2.471 Å, intensity 25; 40.26°, 2.240 Å, intensity 22; 47.82°, 1.902 Å, intensity 16